The following is a computed XRD peak list of CsCo2RhF8. It was derived from a crystal structure in Alexandria, relaxed with GGA+U, using Cu Ka.
Peak positions follow from Bragg's law for the DFT cell and can differ from measured ones.

Structure:
a b c (Å): 5.3179 5.3280 7.5045
angles (deg): 72.31 72.51 72.05
Atoms (fractional coordinates):
Cs: 0.0000 0.0000 0.0000
Co: 0.4438 0.4437 0.2360
Co: 0.5562 0.5563 0.7640
Rh: 0.0000 0.0000 0.5000
F: 0.1883 0.7081 0.6967
F: 0.2420 0.2392 0.4738
F: 0.2908 0.8086 0.3058
F: 0.3538 0.3470 0.0307
F: 0.6462 0.6530 0.9693
F: 0.7092 0.1914 0.6942
F: 0.7580 0.7608 0.5262
F: 0.8117 0.2919 0.3033

Peak list (10 most intense, 2θ from 10° to 90°, sorted by position)
2θ/deg, d [Å], intensity
18.00, 4.928, 275
22.26, 3.993, 995
27.76, 3.213, 1000
28.51, 3.131, 589
34.82, 2.577, 587
35.75, 2.512, 219
36.47, 2.464, 216
36.68, 2.450, 197
36.86, 2.439, 190
52.58, 1.740, 236